# 1
Computed powder diffractogram
Compound: LaPrBr2O2
Radiation: Cu Kα (λ = 1.5418 Å)
Structure: a PBE-relaxed structure

Cell and atoms:
```
6
Lattice="4.0607 0.0000 0.0000 0.0000 4.0607 0.0000 0.0000 0.0000 7.9338" Properties=species:S:1:pos:R:3 pbc="T T T"
La 0.0000 0.0000 0.0000
Pr 2.0304 2.0304 5.4984
Br 0.0000 0.0000 3.9511
Br 2.0304 2.0304 1.5751
O 0.0000 2.0304 6.7121
O 2.0304 0.0000 6.7121
```

Most intense lines, 2θ = 10–90°, low angle first:
Position (°2θ)	Rel. int.
11.15	16
31.15	49
31.53	100
44.63	24
55.66	39
56.38	15

---

# 2
Computed powder diffractogram
Compound: PmSnB4
Radiation: Cu Kα (λ = 1.5418 Å)
Structure: a PBE-relaxed structure

Cell and atoms:
```
6
Lattice="-1.6217 2.6804 4.2929 1.6217 -2.6804 4.2929 1.6217 2.6804 -4.2929" Properties=species:S:1:pos:R:3 pbc="T T T"
Pm 0.0000 0.0000 0.0000
Sn 0.0000 0.0000 4.2929
B 1.6217 -0.9249 2.0722
B 1.6217 0.9249 2.0722
B 0.0000 1.7554 2.2207
B 0.0000 3.6053 2.2207
```

Most intense lines, 2θ = 10–90°, low angle first:
Position (°2θ)	Rel. int.
20.69	80
32.26	65
33.43	29
38.63	100
39.64	47
54.01	32

---

# 3
Computed powder diffractogram
Compound: Ho2BeCuSi2
Radiation: Cu Kα (λ = 1.5418 Å)
Structure: a PBE-relaxed structure

Cell and atoms:
```
6
Lattice="3.9591 0.0000 0.0000 -1.9795 3.4287 0.0000 0.0000 0.0000 7.9229" Properties=species:S:1:pos:R:3 pbc="T T T"
Ho 0.0000 0.0000 1.9797
Ho 0.0000 0.0000 5.9432
Be 1.9795 1.1429 0.0000
Cu 0.0000 2.2858 3.9614
Si 0.0000 2.2858 0.0000
Si 1.9795 1.1429 3.9614
```

Most intense lines, 2θ = 10–90°, low angle first:
Position (°2θ)	Rel. int.
25.99	46
34.60	100
45.83	40
53.43	20
58.68	22
77.48	29

---

# 4
Computed powder diffractogram
Compound: ZnI2
Radiation: Cu Kα (λ = 1.5418 Å)
Structure: a PBE-relaxed structure

Cell and atoms:
```
3
Lattice="2.0430 1.1795 7.0833 -2.0430 1.1795 7.0833 0.0000 -2.3591 7.0833" Properties=species:S:1:pos:R:3 pbc="T T T"
Zn 0.0000 0.0000 0.0000
I 0.0000 0.0000 5.4455
I 0.0000 0.0000 15.8043
```

Most intense lines, 2θ = 10–90°, low angle first:
Position (°2θ)	Rel. int.
12.50	27
26.55	44
30.35	100
42.56	37
44.34	35
51.64	19

---

# 5
Computed powder diffractogram
Compound: TbAlCl6
Radiation: Cu Kα (λ = 1.5418 Å)
Structure: a PBE-relaxed structure

Cell and atoms:
```
8
Lattice="3.2331 -5.6134 0.0000 3.2331 5.6134 0.0000 -2.1691 0.0000 6.0045" Properties=species:S:1:pos:R:3 pbc="T T T"
Tb 0.0000 0.0000 0.0000
Al 3.2331 1.8876 0.0000
Cl 1.3307 1.8539 1.3618
Cl 0.0898 0.2480 4.6177
Cl 0.9178 -2.0673 1.3918
Cl 2.9663 1.8539 4.6427
Cl 4.2072 0.2480 1.3867
Cl 3.3793 -2.0673 4.6127
```

Most intense lines, 2θ = 10–90°, low angle first:
Position (°2θ)	Rel. int.
14.75	81
16.58	53
18.63	41
28.01	36
34.11	100
48.72	30

---

# 6
Computed powder diffractogram
Compound: Hf8C3S2N3
Radiation: Cu Kα (λ = 1.5418 Å)
Structure: a PBE-relaxed structure

Cell and atoms:
```
16
Lattice="3.2969 0.0000 0.0000 -1.6485 2.8552 0.0000 0.0000 0.0000 22.5817" Properties=species:S:1:pos:R:3 pbc="T T T"
Hf 0.0000 0.0000 3.7742
Hf 0.0000 0.0000 7.4203
Hf 0.0000 0.0000 15.1614
Hf 0.0000 0.0000 18.8075
Hf 0.0000 1.9035 12.5865
Hf 0.0000 1.9035 21.2508
Hf 1.6485 0.9517 1.3309
Hf 1.6485 0.9517 9.9952
C 0.0000 0.0000 11.2908
C 0.0000 1.9035 8.5858
C 1.6485 0.9517 13.9959
S 0.0000 1.9035 17.0139
S 1.6485 0.9517 5.5678
N 0.0000 0.0000 0.0000
N 0.0000 1.9035 2.5232
N 1.6485 0.9517 20.0585
```

Most intense lines, 2θ = 10–90°, low angle first:
Position (°2θ)	Rel. int.
31.70	31
32.34	62
33.57	34
37.26	56
39.62	100
55.77	47

---

# 7
Computed powder diffractogram
Compound: PrB2IO4
Radiation: Cu Kα (λ = 1.5418 Å)
Structure: a PBE-relaxed structure

Cell and atoms:
```
16
Lattice="4.2302 0.0000 0.0000 2.0759 6.3574 0.0000 0.1159 1.2080 8.5426" Properties=species:S:1:pos:R:3 pbc="T T T"
Pr 1.0159 0.4641 1.7312
Pr 5.4061 7.1013 6.8114
B 1.5354 3.2642 7.3520
B 2.7795 2.9915 1.5357
B 3.6425 4.5739 7.0069
B 4.8866 4.3012 1.1906
I 1.1085 2.0615 4.6212
I 5.3135 5.5039 3.9213
O 1.3948 3.1439 1.3983
O 1.1233 2.0857 7.8725
O 3.2152 5.8267 6.8758
O 2.9121 3.3882 7.1135
O 3.5098 4.1772 1.4291
O 3.2068 1.7387 1.6668
O 5.2987 5.4798 0.6701
O 5.0271 4.4215 7.1442
```

Most intense lines, 2θ = 10–90°, low angle first:
Position (°2θ)	Rel. int.
14.07	100
24.77	44
30.08	47
31.42	65
32.90	57
33.02	52

---

# 8
Computed powder diffractogram
Compound: Sm3Zn4
Radiation: Cu Kα (λ = 1.5418 Å)
Structure: a PBE-relaxed structure

Cell and atoms:
```
14
Lattice="8.5236 0.0000 0.0000 -4.2618 7.3817 0.0000 0.0000 0.0000 5.1460" Properties=species:S:1:pos:R:3 pbc="T T T"
Sm -2.6680 5.8810 1.2865
Sm 0.5027 2.1306 1.2865
Sm 2.0965 0.6300 3.8595
Sm 2.1653 6.7517 1.2865
Sm 3.7591 5.2510 3.8595
Sm 6.9298 1.5007 3.8595
Zn -1.5947 4.5772 3.8595
Zn 0.0000 4.9211 1.2865
Zn 1.0951 3.7120 3.8595
Zn 0.4995 6.4741 3.8595
Zn 3.7623 0.9076 1.2865
Zn 3.1667 3.6696 1.2865
Zn 4.2618 2.4605 3.8595
Zn 5.8565 2.8044 1.2865
```

Most intense lines, 2θ = 10–90°, low angle first:
Position (°2θ)	Rel. int.
29.79	28
32.08	25
34.87	33
36.64	100
48.11	16
63.68	19

---

# 9
Computed powder diffractogram
Compound: Ho3Fe8B
Radiation: Cu Kα (λ = 1.5418 Å)
Structure: a PBE-relaxed structure

Cell and atoms:
```
12
Lattice="2.5181 1.4538 7.8024 -2.5181 1.4538 7.8024 0.0000 -2.9077 7.8024" Properties=species:S:1:pos:R:3 pbc="T T T"
Ho 0.0000 0.0000 0.0000
Ho 0.0000 0.0000 3.3342
Ho 0.0000 0.0000 20.0731
Fe -1.2363 -0.7138 9.7996
Fe 0.0000 0.0000 7.7746
Fe 0.0000 -1.4276 13.6077
Fe -1.2363 0.7138 13.6077
Fe 1.2363 -0.7138 9.7996
Fe 0.0000 1.4276 9.7996
Fe 0.0000 0.0000 15.6328
Fe 1.2363 0.7138 13.6077
B 0.0000 0.0000 11.7037
```

Most intense lines, 2θ = 10–90°, low angle first:
Position (°2θ)	Rel. int.
20.72	31
33.78	74
35.65	56
37.00	26
41.59	54
42.74	100

---

# 10
Computed powder diffractogram
Compound: Np2Ni
Radiation: Cu Kα (λ = 1.5418 Å)
Structure: a PBE-relaxed structure

Cell and atoms:
```
6
Lattice="0.0000 5.6710 5.6710 5.6710 0.0000 5.6710 5.6710 5.6710 0.0000" Properties=species:S:1:pos:R:3 pbc="T T T"
Np 0.0000 0.0000 0.0000
Np 2.8355 2.8355 0.0000
Np 2.8355 0.0000 2.8355
Np 0.0000 2.8355 2.8355
Ni 1.4178 1.4178 1.4178
Ni 9.9243 9.9243 9.9243
```

Most intense lines, 2θ = 10–90°, low angle first:
Position (°2θ)	Rel. int.
13.52	100
26.06	29
27.24	55
34.47	32
45.22	28
47.42	27

---

# 11
Computed powder diffractogram
Compound: Sc3Re2Si3
Radiation: Cu Kα (λ = 1.5418 Å)
Structure: a PBE-relaxed structure

Cell and atoms:
```
32
Lattice="9.6667 -2.6455 0.0000 9.6667 2.6455 0.0000 -8.3566 0.0000 10.9245" Properties=species:S:1:pos:R:3 pbc="T T T"
Sc -1.8969 0.0000 4.2267
Sc 0.6171 1.2366 8.6518
Sc 7.2477 1.3675 1.0023
Sc -3.4963 -0.2018 8.0190
Sc 3.7291 1.3675 9.9222
Sc 3.2603 -0.0702 4.3186
Sc 10.3597 1.2366 2.2728
Sc -0.9435 -1.3334 9.7864
Sc 7.7165 -0.0702 6.6059
Sc 14.4731 -0.2018 2.9055
Sc 11.9204 -1.3334 1.1381
Sc 12.8738 0.0000 6.6978
Re 4.7198 0.1429 0.2248
Re 0.6759 -1.1409 5.1152
Re 6.2863 -0.0372 3.5297
Re 4.6905 -0.0372 7.3949
Re 2.2432 -1.2555 9.1073
Re 6.2570 0.1429 10.6997
Re 8.7336 -1.2555 1.8172
Re 10.3009 -1.1409 5.8094
Si 9.6667 2.6328 0.0000
Si 0.7382 0.8149 3.4697
Si -1.0341 -0.0890 6.8539
Si 5.4884 1.2953 5.4623
Si 2.2955 -0.0048 6.9277
Si 9.6667 0.0253 0.0000
Si 8.6813 -0.0048 3.9968
Si 6.3549 -1.3091 1.4204
Si 10.2386 0.8149 7.4548
Si 5.4884 -1.3926 5.4623
Si 12.0109 -0.0890 4.0706
Si 4.6219 -1.3091 9.5042
```

Most intense lines, 2θ = 10–90°, low angle first:
Position (°2θ)	Rel. int.
12.98	100
18.49	45
27.22	44
35.19	52
40.26	64
42.22	63

---

> Which formula does entry 9 have?

Ho3Fe8B

---

What did the tenth record say?
Computed powder diffractogram
Compound: Np2Ni
Radiation: Cu Kα (λ = 1.5418 Å)
Structure: a PBE-relaxed structure

Cell and atoms:
```
6
Lattice="0.0000 5.6710 5.6710 5.6710 0.0000 5.6710 5.6710 5.6710 0.0000" Properties=species:S:1:pos:R:3 pbc="T T T"
Np 0.0000 0.0000 0.0000
Np 2.8355 2.8355 0.0000
Np 2.8355 0.0000 2.8355
Np 0.0000 2.8355 2.8355
Ni 1.4178 1.4178 1.4178
Ni 9.9243 9.9243 9.9243
```

Most intense lines, 2θ = 10–90°, low angle first:
Position (°2θ)	Rel. int.
13.52	100
26.06	29
27.24	55
34.47	32
45.22	28
47.42	27